# DyBiN2O
Simulated X-ray powder pattern, CuKα. Input: a cell relaxed with GGA-PBE.
Neutral-atom scattering factors, no anomalous dispersion.

Cell and atoms:
Lattice parameters (Å, degrees): 8.5379 8.8585 6.0293 90.00 132.93 90.00
Space group C2/m (No. 12)
Inequivalent atoms, fractional coordinates:
Dy 0.1581 0.0000 0.4179 x4
Bi 0.2500 0.2500 0.0000 x4
N 0.0000 0.1669 0.5000 x4
N 0.0150 0.5000 0.9113 x4
O 0.0000 0.1473 0.0000 x4

Peak list (12 most intense, 5° ≤ 2θ ≤ 70°, by intensity)
two_theta	I (rel.)	h k l
28.55	100	0 2 1
29.06	86	2 2 -1
29.65	37	2 0 -2
51.20	26	2 4 -2
17.36	20	1 1 0
40.74	19	0 4 0
51.62	18	2 2 -3
40.88	15	0 0 2
52.56	15	4 2 -3
50.51	12	2 4 0
33.41	11	1 1 1
67.06	11	2 6 -1